BN2Cl: theoretical powder diffractogram (λ = 1.5418 Å (Cu Kα)), based on the GGA-PBE geometry in Alexandria.
Peak positions follow from Bragg's law for the DFT cell and can differ from measured ones.

Atomic structure:
Lattice parameters (Å, degrees): 7.7806 7.7806 5.3901 90.00 90.00 67.42
Sites, in units of the cell vectors:
B 0.2046 0.7954 0.9529
B 0.2954 0.7046 0.4529
B 0.7046 0.2954 0.5471
B 0.7954 0.2046 0.0471
N 0.0779 0.9221 0.7776
N 0.2300 0.7700 0.6942
N 0.2700 0.7300 0.1942
N 0.4221 0.5779 0.2776
N 0.5779 0.4221 0.7224
N 0.7300 0.2700 0.8058
N 0.7700 0.2300 0.3058
N 0.9221 0.0779 0.2224
Cl 0.1669 0.1669 0.0000
Cl 0.3331 0.3331 0.5000
Cl 0.6669 0.6669 0.5000
Cl 0.8331 0.8331 0.0000

Principal peaks in the range 10° ≤ 2θ ≤ 90°, sorted by position:
| 2theta | d_spacing | I (rel.) |
| --- | --- | --- |
| 13.68 | 6.472 | 50 |
| 20.59 | 4.313 | 100 |
| 24.79 | 3.592 | 50 |
| 28.44 | 3.138 | 70 |
| 29.89 | 2.989 | 15 |
| 34.64 | 2.590 | 17 |
| 36.09 | 2.489 | 26 |
| 39.41 | 2.286 | 14 |
| 41.25 | 2.188 | 34 |
| 41.87 | 2.158 | 45 |